# 1
This entry pairs a crystal structure of Sr3Pr4Pb3N2 with its computed powder X-ray diffraction pattern. Radiation: Cu Kα (weighted mean of Kα1 and Kα2). Structure: a DFT-relaxed cell (GGA-PBE, OQMD).

Cell lengths 5.148, 26.161, 5.051 Å; angles 90.00, 90.00, 90.00 degrees
Space group Cmmm (No. 65)
Unique sites:
Sr 0.000 0.000 0.000 [2 per cell]
Sr 0.000 0.095 0.500 [4 per cell]
Pr 0.000 0.198 0.000 [4 per cell]
Pr 0.000 0.398 0.000 [4 per cell]
Pb 0.000 0.308 0.500 [4 per cell]
Pb 0.000 0.500 0.500 [2 per cell]
N 0.000 0.105 0.000 [4 per cell]

Peak list (8 most intense, 10 to 90 degrees two-theta, low angle first)
two_theta	d (Å)	I_rel	index
30.1	2.969	100	1 5 1
34.3	2.616	18	0 10 0
34.9	2.574	19	2 0 0
35.5	2.525	18	0 0 2
50.6	1.803	13	2 0 2
58.8	1.570	13	1 15 1
59.6	1.552	15	3 5 1
60.5	1.530	14	1 5 3

# 2
This entry pairs a crystal structure of Sc2TaB6 with its computed powder X-ray diffraction pattern. Radiation: Cu Kα (weighted mean of Kα1 and Kα2). Structure: a DFT-relaxed cell (GGA-PBE, OQMD).

Cell lengths 9.177, 11.377, 3.489 Å; angles 90.00, 90.00, 90.00 degrees
Space group Pbam (No. 55)
Unique sites:
Sc 0.056 0.129 0.000 [4 per cell]
Sc 0.176 0.413 0.000 [4 per cell]
Ta 0.144 0.680 0.000 [4 per cell]
B 0.022 0.288 0.500 [4 per cell]
B 0.054 0.562 0.500 [4 per cell]
B 0.094 0.974 0.500 [4 per cell]
B 0.131 0.822 0.500 [4 per cell]
B 0.200 0.240 0.500 [4 per cell]
B 0.242 0.075 0.500 [4 per cell]

Peak list (8 most intense, 10 to 90 degrees two-theta, low angle first)
two_theta	d (Å)	I_rel	index
15.6	5.688	65	0 2 0
18.3	4.835	76	1 2 0
20.9	4.255	100	2 1 0
25.5	3.489	100	0 0 1
33.0	2.717	57	1 4 0
33.2	2.697	77	2 1 1
42.2	2.144	77	1 4 1
46.2	1.967	61	3 3 1

# 3
This entry pairs a crystal structure of Er5Lu2Ni2S2 with its computed powder X-ray diffraction pattern. Radiation: Cu Kα (weighted mean of Kα1 and Kα2). Structure: a DFT-relaxed cell (GGA-PBE, OQMD).

Cell lengths 3.728, 14.584, 9.062 Å; angles 90.00, 90.00, 90.00 degrees
Space group Imm2 (No. 44)
Unique sites:
Er 0.000 0.000 0.000 [2 per cell]
Er 0.000 0.121 0.406 [4 per cell]
Er 0.000 0.364 0.250 [4 per cell]
Lu 0.000 0.316 0.613 [4 per cell]
Ni 0.000 0.239 0.918 [4 per cell]
S 0.000 0.000 0.656 [2 per cell]
S 0.000 0.500 0.749 [2 per cell]

Peak list (8 most intense, 10 to 90 degrees two-theta, low angle first)
two_theta	d (Å)	I_rel	index
30.2	2.958	68	0 1 3
31.7	2.824	71	1 1 2
32.2	2.777	43	0 5 1
35.0	2.566	57	0 3 3
35.8	2.505	100	1 4 1
36.3	2.477	51	1 3 2
48.9	1.864	29	2 0 0
57.1	1.612	35	1 5 4

# 4
This entry pairs a crystal structure of TeIrI7 with its computed powder X-ray diffraction pattern. Radiation: Cu Kα (weighted mean of Kα1 and Kα2). Structure: a DFT-relaxed cell (GGA-PBE, OQMD).

Cell lengths 7.316, 7.677, 17.605 Å; angles 90.00, 104.48, 90.00 degrees
Space group Pc (No. 7)
Unique sites:
Te 0.000 0.076 0.000 [2 per cell]
Ir 0.717 0.493 0.839 [2 per cell]
I 0.007 0.297 0.843 [2 per cell]
I 0.261 0.302 0.099 [2 per cell]
I 0.275 0.124 0.453 [2 per cell]
I 0.564 0.425 0.694 [2 per cell]
I 0.612 0.188 0.342 [2 per cell]
I 0.695 0.414 0.979 [2 per cell]
I 0.908 0.116 0.621 [2 per cell]

Peak list (8 most intense, 10 to 90 degrees two-theta, low angle first)
two_theta	d (Å)	I_rel	index
14.1	6.273	73	1 0 -2
15.5	5.704	51	0 1 2
16.9	5.256	57	1 1 -1
17.0	5.206	100	1 1 0
18.2	4.865	42	1 1 -2
21.6	4.121	67	1 1 2
25.2	3.530	76	1 1 3
28.5	3.128	54	1 1 -5

# 5
This entry pairs a crystal structure of SmSiNi4 with its computed powder X-ray diffraction pattern. Radiation: Cu Kα (weighted mean of Kα1 and Kα2). Structure: a DFT-relaxed cell (GGA-PBE, OQMD).

Cell lengths 5.107, 8.266, 3.965 Å; angles 90.00, 90.00, 90.00 degrees
Space group Cmmm (No. 65)
Unique sites:
Sm 0.000 0.000 0.000 [2 per cell]
Si 0.000 0.500 0.500 [2 per cell]
Ni 0.000 0.342 0.000 [4 per cell]
Ni 0.250 0.250 0.500 [4 per cell]

Peak list (8 most intense, 10 to 90 degrees two-theta, low angle first)
two_theta	d (Å)	I_rel	index
30.5	2.929	29	1 1 1
31.3	2.861	47	0 2 1
37.1	2.425	47	1 3 0
41.6	2.172	36	2 2 0
42.1	2.147	77	2 0 1
43.8	2.069	100	1 3 1
45.8	1.983	39	0 0 2
60.3	1.535	26	1 3 2

# 6
This entry pairs a crystal structure of Y2Co17H3 with its computed powder X-ray diffraction pattern. Radiation: Cu Kα (weighted mean of Kα1 and Kα2). Structure: a DFT-relaxed cell (GGA-PBE, OQMD).

Cell lengths 8.3334, 8.3334, 12.0421 Å; angles 90.00, 90.00, 120.00 degrees
Space group R-3m (No. 166, hexagonal axes)
Unique sites:
Y 0.0000 0.0000 0.1552 [6 per cell]
Co 0.0000 0.0000 0.4028 [6 per cell]
Co 0.0000 0.2839 0.5000 [18 per cell]
Co 0.0000 0.5000 0.0000 [9 per cell]
Co 0.0055 0.5028 0.3488 [18 per cell]
H 0.0000 0.5000 0.5000 [9 per cell]

Peak list (8 most intense, 10 to 90 degrees two-theta, low angle first)
two_theta	d (Å)	I_rel	index
30.9	2.891	19	1 1 3
37.4	2.406	34	3 0 0
39.0	2.312	37	0 2 4
43.4	2.083	75	2 2 0
43.9	2.063	100	3 0 3
45.2	2.006	60	0 0 6
49.3	1.849	56	2 2 3
50.5	1.807	19	1 1 6

# 7
This entry pairs a crystal structure of Cu13Ag27 with its computed powder X-ray diffraction pattern. Radiation: Cu Kα (weighted mean of Kα1 and Kα2). Structure: a DFT-relaxed cell (GGA-PBE, OQMD).

Cell lengths 4.907, 10.213, 13.514 Å; angles 71.60, 87.02, 85.56 degrees
Space group P1 (No. 1)
Unique sites:
Cu 0.000 0.000 0.000 [1 per cell]
Cu 0.036 0.370 0.460 [1 per cell]
Cu 0.078 0.139 0.413 [1 per cell]
Cu 0.183 0.609 0.321 [1 per cell]
Cu 0.229 0.368 0.277 [1 per cell]
Cu 0.266 0.126 0.220 [1 per cell]
Cu 0.304 0.886 0.167 [1 per cell]
Cu 0.454 0.120 0.026 [1 per cell]
Cu 0.492 0.489 0.487 [1 per cell]
Cu 0.531 0.257 0.440 [1 per cell]
Cu 0.573 0.623 0.928 [1 per cell]
Cu 0.769 0.622 0.723 [1 per cell]
Cu 0.897 0.498 0.100 [1 per cell]
Ag 0.045 0.748 0.952 [1 per cell]
Ag 0.081 0.504 0.902 [1 per cell]
Ag 0.113 0.881 0.361 [1 per cell]
Ag 0.146 0.246 0.850 [1 per cell]
Ag 0.191 0.999 0.796 [1 per cell]
Ag 0.255 0.742 0.749 [1 per cell]
Ag 0.283 0.500 0.694 [1 per cell]
Ag 0.334 0.256 0.635 [1 per cell]
Ag 0.380 0.618 0.128 [1 per cell]
Ag 0.386 0.002 0.590 [1 per cell]
Ag 0.415 0.370 0.078 [1 per cell]
Ag 0.457 0.738 0.544 [1 per cell]
Ag 0.516 0.879 0.979 [1 per cell]
Ag 0.586 0.010 0.392 [1 per cell]
Ag 0.612 0.381 0.873 [1 per cell]
Ag 0.625 0.745 0.341 [1 per cell]
Ag 0.671 0.124 0.825 [1 per cell]
Ag 0.713 0.491 0.301 [1 per cell]
Ag 0.720 0.866 0.773 [1 per cell]
Ag 0.761 0.251 0.248 [1 per cell]
Ag 0.772 0.002 0.189 [1 per cell]
Ag 0.806 0.380 0.664 [1 per cell]
Ag 0.859 0.131 0.606 [1 per cell]
Ag 0.863 0.748 0.150 [1 per cell]
Ag 0.923 0.867 0.568 [1 per cell]
Ag 0.946 0.243 0.048 [1 per cell]
Ag 0.980 0.612 0.508 [1 per cell]

Peak list (8 most intense, 10 to 90 degrees two-theta, low angle first)
two_theta	d (Å)	I_rel	index
38.9	2.313	100	1 4 1
39.1	2.306	98	2 0 2
45.2	2.008	32	2 1 -3
45.3	2.003	31	1 -4 1
45.6	1.990	30	1 3 6
65.9	1.418	19	1 5 -4
66.1	1.413	18	3 4 3
79.2	1.210	22	3 5 -2

# 8
This entry pairs a crystal structure of Gd2ErNi4Sn4 with its computed powder X-ray diffraction pattern. Radiation: Cu Kα (weighted mean of Kα1 and Kα2). Structure: a DFT-relaxed cell (GGA-PBE, OQMD).

Cell lengths 4.405, 6.961, 14.328 Å; angles 90.00, 90.00, 90.00 degrees
Space group Immm (No. 71)
Unique sites:
Gd 0.000 0.000 0.132 [4 per cell]
Er 0.000 0.500 0.000 [2 per cell]
Ni 0.000 0.191 0.323 [8 per cell]
Sn 0.000 0.294 0.500 [4 per cell]
Sn 0.000 0.500 0.215 [4 per cell]

Peak list (8 most intense, 10 to 90 degrees two-theta, low angle first)
two_theta	d (Å)	I_rel	index
33.4	2.683	100	1 2 1
33.8	2.650	29	0 1 5
34.8	2.581	88	1 1 4
37.7	2.388	16	0 0 6
41.0	2.203	41	2 0 0
43.4	2.087	21	0 3 3
45.9	1.976	36	1 2 5
76.5	1.245	16	1 5 4

# 9
This entry pairs a crystal structure of ScHgSeO with its computed powder X-ray diffraction pattern. Radiation: Cu Kα (weighted mean of Kα1 and Kα2). Structure: a DFT-relaxed cell (GGA-PBE, OQMD).

Cell lengths 5.386, 5.394, 11.872 Å; angles 90.00, 92.48, 90.00 degrees
Space group P2_1 (No. 4)
Unique sites:
Sc 0.008 0.000 0.079 [2 per cell]
Sc 0.492 0.001 0.921 [2 per cell]
Hg 0.114 0.607 0.404 [2 per cell]
Hg 0.374 0.616 0.600 [2 per cell]
Se 0.213 0.247 0.751 [2 per cell]
Se 0.286 0.251 0.250 [2 per cell]
O 0.250 0.256 0.000 [2 per cell]
O 0.250 0.753 0.000 [2 per cell]

Peak list (8 most intense, 10 to 90 degrees two-theta, low angle first)
two_theta	d (Å)	I_rel	index
23.4	3.809	22	1 1 0
24.3	3.660	72	1 1 -1
27.4	3.251	100	1 1 -2
28.2	3.161	16	1 1 2
33.2	2.699	33	0 2 0
34.1	2.630	22	0 2 1
37.3	2.411	23	2 0 2
39.1	2.306	45	1 1 4

# 10
This entry pairs a crystal structure of Co6MoW with its computed powder X-ray diffraction pattern. Radiation: Cu Kα (weighted mean of Kα1 and Kα2). Structure: a DFT-relaxed cell (GGA-PBE, OQMD).

Cell lengths 4.089, 5.091, 4.438 Å; angles 90.00, 90.00, 90.00 degrees
Space group Pmm2 (No. 25)
Unique sites:
Co 0.000 0.000 0.000 [1 per cell]
Co 0.000 0.252 0.516 [2 per cell]
Co 0.500 0.247 0.846 [2 per cell]
Co 0.500 0.500 0.365 [1 per cell]
Mo 0.500 0.000 0.343 [1 per cell]
W 0.000 0.500 0.020 [1 per cell]

Peak list (8 most intense, 10 to 90 degrees two-theta, low angle first)
two_theta	d (Å)	I_rel	index
28.0	3.188	16	1 1 0
40.9	2.208	26	0 2 1
44.3	2.045	39	2 0 0
46.6	1.950	50	1 0 2
46.8	1.943	100	1 2 1
61.8	1.500	15	2 2 1
74.1	1.279	16	0 2 3
83.3	1.160	17	3 2 1

# 11
This entry pairs a crystal structure of Hg2H6CN3Cl5 with its computed powder X-ray diffraction pattern. Radiation: Cu Kα (weighted mean of Kα1 and Kα2). Structure: a DFT-relaxed cell (GGA-PBE, OQMD).

Cell lengths 4.026, 15.181, 18.397 Å; angles 90.00, 90.00, 90.00 degrees
Space group C222_1 (No. 20)
Unique sites:
Hg 0.132 0.132 0.463 [8 per cell]
H 0.035 0.261 0.296 [8 per cell]
H 0.043 0.493 0.316 [8 per cell]
H 0.222 0.396 0.350 [8 per cell]
C 0.000 0.384 0.250 [4 per cell]
N 0.000 0.296 0.250 [4 per cell]
N 0.112 0.429 0.308 [8 per cell]
Cl 0.086 0.201 0.580 [8 per cell]
Cl 0.117 0.500 0.500 [4 per cell]
Cl 0.132 0.106 0.337 [8 per cell]

Peak list (8 most intense, 10 to 90 degrees two-theta, low angle first)
two_theta	d (Å)	I_rel	index
18.6	4.770	60	0 2 3
23.4	3.801	100	0 4 0
24.8	3.584	37	1 1 2
25.4	3.508	34	0 4 2
28.3	3.150	34	1 3 0
28.8	3.105	70	1 3 1
30.0	2.980	56	1 3 2
36.2	2.484	43	0 2 7